Record 1
LaMg14Sb: simulated powder X-ray diffraction pattern (a wavelength of 1.5418 Å), based on a structure optimized by DFT (PBE).
Lines closer than 0.1° are merged.

Atomic structure:
```
data_LaMg14Sb
_cell_length_a 6.4889
_cell_length_b 6.4889
_cell_length_c 10.7439
_cell_angle_alpha 90.00
_cell_angle_beta 90.00
_cell_angle_gamma 120.00
_space_group_name_H-M_alt 'P -6 m 2'
_space_group_IT_number 187
_space_group_name_Hall 'P -6 2'
loop_
_atom_site_label
_atom_site_type_symbol
_atom_site_fract_x
_atom_site_fract_y
_atom_site_fract_z
La1 La 0.0000 0.0000 0.0000
Mg1 Mg 0.0075 0.5037 0.0000
Mg2 Mg 0.1671 0.3342 0.2531
Mg3 Mg 0.5014 0.0027 0.5000
Mg4 Mg 0.6667 0.3333 0.2448
Sb1 Sb 0.0000 0.0000 0.5000
```

Largest 10 diffraction maxima, in order of falling intensity, 2θ from 10° to 90°:
| h k l | 2θ/deg | d_spacing | I (rel.) |
| --- | --- | --- | --- |
| 2 0 2 | 36.07 | 2.490 | 100 |
| 1 0 0 | 15.77 | 5.620 | 54 |
| 1 0 2 | 22.90 | 3.883 | 46 |
| 2 0 0 | 31.85 | 2.810 | 30 |
| 0 0 4 | 33.36 | 2.686 | 27 |
| 2 0 6 | 61.40 | 1.510 | 20 |
| 2 0 4 | 46.79 | 1.942 | 20 |
| 1 1 2 | 32.23 | 2.777 | 19 |
| 2 2 4 | 67.45 | 1.389 | 19 |
| 2 2 0 | 56.75 | 1.622 | 17 |


Record 2
MgTe6Mo2W2S2: simulated powder X-ray diffraction pattern (a wavelength of 1.5418 Å), based on a structure optimized by DFT (PBE).
Lines closer than 0.1° are merged.

Atomic structure:
```
data_MgTe6Mo2W2S2
_cell_length_a 6.0194
_cell_length_b 3.4752
_cell_length_c 43.7646
_cell_angle_alpha 90.00
_cell_angle_beta 90.16
_cell_angle_gamma 90.00
_space_group_name_H-M_alt 'C 1 m 1'
_space_group_IT_number 8
loop_
_space_group_symop_operation_xyz
'x,y,z'
'x,-y,z'
'x+1/2,y+1/2,z'
'x+1/2,-y+1/2,z'
loop_
_atom_site_label
_atom_site_type_symbol
_atom_site_fract_x
_atom_site_fract_y
_atom_site_fract_z
Mg1 Mg 0.0000 0.0000 0.0000
Te1 Te 0.0030 0.0000 0.2215
Te2 Te 0.0034 0.0000 0.8412
Te3 Te 0.0048 0.0000 0.3057
Te4 Te 0.0051 0.0000 0.9258
Te5 Te 0.1696 0.5000 0.4099
Te6 Te 0.1714 0.5000 0.4944
Mo1 Mo 0.0027 0.0000 0.0818
Mo2 Mo 0.1706 0.5000 0.2636
W1 W 0.0038 0.0000 0.4522
W2 W 0.1709 0.5000 0.8834
S1 S 0.1689 0.5000 0.0479
S2 S 0.1699 0.5000 0.1151
```

Largest 10 diffraction maxima, in order of falling intensity, 2θ from 10° to 90°:
| h k l | 2θ/deg | d_spacing | I (rel.) |
| --- | --- | --- | --- |
| 0 0 5 | 10.11 | 8.753 | 100 |
| 1 1 8 | 34.00 | 2.637 | 47 |
| 2 0 -13 | 40.18 | 2.244 | 46 |
| 1 1 0 | 29.69 | 3.009 | 31 |
| 3 1 0 | 52.68 | 1.738 | 21 |
| 2 0 -11 | 37.46 | 2.401 | 13 |
| 2 0 10 | 36.22 | 2.480 | 13 |
| 2 0 -5 | 31.43 | 2.846 | 11 |
| 0 0 6 | 12.13 | 7.294 | 11 |
| 3 1 -5 | 53.79 | 1.704 | 9 |


Record 3
Zn4CdS5: simulated powder X-ray diffraction pattern (a wavelength of 1.5418 Å), based on a structure optimized by DFT (PBE).
Lines closer than 0.1° are merged.

Atomic structure:
```
data_Zn4CdS5
_cell_length_a 3.9279
_cell_length_b 3.9279
_cell_length_c 32.3354
_cell_angle_alpha 90.00
_cell_angle_beta 90.00
_cell_angle_gamma 120.00
_space_group_name_H-M_alt 'P 3 m 1'
_space_group_IT_number 156
loop_
_space_group_symop_operation_xyz
'x,y,z'
'-y,x-y,z'
'-x+y,-x,z'
'-y,-x,z'
'-x+y,y,z'
'x,x-y,z'
loop_
_atom_site_label
_atom_site_type_symbol
_atom_site_fract_x
_atom_site_fract_y
_atom_site_fract_z
Zn1 Zn 0.0000 0.0000 0.0000
Zn2 Zn 0.0000 0.0000 0.1951
Zn3 Zn 0.0000 0.0000 0.3944
Zn4 Zn 0.0000 0.0000 0.5901
Zn5 Zn 0.0000 0.0000 0.7955
Zn6 Zn 0.6667 0.3333 0.0966
Zn7 Zn 0.6667 0.3333 0.2947
Zn8 Zn 0.6667 0.3333 0.4931
Cd1 Cd 0.6667 0.3333 0.6914
Cd2 Cd 0.6667 0.3333 0.8950
S1 S 0.0000 0.0000 0.1211
S2 S 0.0000 0.0000 0.3200
S3 S 0.0000 0.0000 0.5171
S4 S 0.0000 0.0000 0.7236
S5 S 0.0000 0.0000 0.9276
S6 S 0.6667 0.3333 0.0233
S7 S 0.6667 0.3333 0.2203
S8 S 0.6667 0.3333 0.4193
S9 S 0.6667 0.3333 0.6134
S10 S 0.6667 0.3333 0.8173
```

Largest 10 diffraction maxima, in order of falling intensity, 2θ from 10° to 90°:
| h k l | 2θ/deg | d_spacing | I (rel.) |
| --- | --- | --- | --- |
| 0 1 5 | 29.67 | 3.011 | 100 |
| 1 0 0 | 26.20 | 3.402 | 80 |
| 1 1 0 | 46.22 | 1.964 | 63 |
| 1 0 15 | 50.10 | 1.821 | 61 |
| 0 0 10 | 27.58 | 3.234 | 50 |
| 1 1 10 | 54.68 | 1.679 | 41 |
| 0 1 10 | 38.41 | 2.344 | 32 |
| 2 1 15 | 88.56 | 1.104 | 23 |
| 0 2 15 | 70.53 | 1.335 | 21 |
| 2 0 5 | 55.90 | 1.645 | 16 |